Computed powder diffractogram
Compound: NaCaMnW2
Radiation: Cu Kα X-rays
Structure: a structure optimized by DFT (GGA-PBE)
Kinematic intensities with the Lorentz-polarization factor, no thermal factor.

Largest 8 diffraction maxima, in order of rising 2θ, 10 to 90 degrees two-theta:
| two_theta | d/Å | I/Imax | (hkl) |
| --- | --- | --- | --- |
| 16.2 | 5.475 | 100.0 | 0 0 1 |
| 27.9 | 3.198 | 25.1 | 1 1 0 |
| 32.4 | 2.761 | 84.9 | 1 1 1 |
| 32.7 | 2.738 | 35.3 | 0 0 2 |
| 39.9 | 2.261 | 40.9 | 2 0 0 |
| 43.3 | 2.090 | 34.5 | 2 0 1 |
| 52.5 | 1.743 | 36.5 | 2 0 2 |
| 67.7 | 1.384 | 20.6 | 3 1 1 |

Crystal structure
```
data_NaCaMnW2
_chemical_formula_sum 'Na1 Ca1 Mn1 W2'
_cell_length_a 4.523
_cell_length_b 4.523
_cell_length_c 5.475
_cell_angle_alpha 90.00
_cell_angle_beta 90.00
_cell_angle_gamma 90.00
_symmetry_space_group_name_H-M 'P 4/m m m'
_symmetry_Int_Tables_number 123
_symmetry_space_group_name_Hall '-P 4 2'
loop_
_atom_site_label
_atom_site_type_symbol
_atom_site_fract_x
_atom_site_fract_y
_atom_site_fract_z
Na1 Na 0.000 0.000 0.000
Ca1 Ca 0.500 0.500 0.000
Mn1 Mn 0.500 0.500 0.500
W1 W 0.000 0.500 0.500
```